Record 1
LiSnPO4: simulated X-ray powder pattern (Cu Kα, 1.54184 Å), based on a DFT-relaxed cell (PBE, the Materials Project).

Structural model:
Lattice parameters (Å, degrees): 7.3908 7.7211 13.5662 90.00 90.00 90.00
Sites, in units of the cell vectors:
Li 0.1648 0.1625 0.2306
Li 0.1648 0.3375 0.7306
Li 0.3352 0.6625 0.2306
Li 0.3352 0.8375 0.7306
Li 0.6648 0.1625 0.2694
Li 0.6648 0.3375 0.7694
Li 0.8352 0.6625 0.2694
Li 0.8352 0.8375 0.7694
Sn 0.0645 0.6906 0.5498
Sn 0.0645 0.8094 0.0498
Sn 0.4355 0.1906 0.5498
Sn 0.4355 0.3094 0.0498
Sn 0.5645 0.6906 0.9502
Sn 0.5645 0.8094 0.4502
Sn 0.9355 0.1906 0.9502
Sn 0.9355 0.3094 0.4502
P 0.0962 0.5992 0.8626
P 0.0962 0.9008 0.3626
P 0.4038 0.0992 0.8626
P 0.4038 0.4008 0.3626
P 0.5962 0.5992 0.6374
P 0.5962 0.9008 0.1374
P 0.9038 0.0992 0.6374
P 0.9038 0.4008 0.1374
O 0.0202 0.0905 0.3572
O 0.0202 0.4095 0.8572
O 0.0546 0.2337 0.6097
O 0.0546 0.2663 0.1097
O 0.1848 0.6331 0.7626
O 0.1848 0.8669 0.2626
O 0.2326 0.6157 0.9514
O 0.2326 0.8843 0.4514
O 0.2674 0.1157 0.9514
O 0.2674 0.3843 0.4514
O 0.3152 0.1331 0.7626
O 0.3152 0.3669 0.2626
O 0.4454 0.7337 0.6097
O 0.4454 0.7663 0.1097
O 0.4798 0.5905 0.3572
O 0.4798 0.9095 0.8572
O 0.5202 0.0905 0.1428
O 0.5202 0.4095 0.6428
O 0.5546 0.2337 0.8903
O 0.5546 0.2663 0.3903
O 0.6848 0.6331 0.7374
O 0.6848 0.8669 0.2374
O 0.7326 0.6157 0.5486
O 0.7326 0.8843 0.0486
O 0.7674 0.1157 0.5486
O 0.7674 0.3843 0.0486
O 0.8152 0.1331 0.7374
O 0.8152 0.3669 0.2374
O 0.9454 0.7337 0.8903
O 0.9454 0.7663 0.3903
O 0.9798 0.5905 0.1428
O 0.9798 0.9095 0.6428

Peak list (10 most intense, 10 to 80 degrees two-theta, in order of rising 2θ)
2θ (°)	d/Å	I/Imax
13.05	6.783	100.0
23.04	3.861	32.8
24.08	3.695	31.6
25.82	3.451	38.5
26.57	3.355	29.9
26.74	3.333	48.8
27.52	3.241	40.3
31.24	2.863	66.7
37.60	2.392	32.9
43.46	2.082	39.0

Record 2
LiSnPO4: simulated X-ray powder pattern (Cu Kα, 1.54184 Å), based on a DFT-relaxed cell (PBE, the Materials Project).

Structural model:
Lattice parameters (Å, degrees): 5.5928 8.1535 9.4406 76.68 89.18 79.58
Sites, in units of the cell vectors:
Li 0.1324 0.4908 0.3700
Li 0.2506 0.9618 0.1841
Li 0.7494 0.0382 0.8159
Li 0.8676 0.5092 0.6300
Sn 0.2330 0.6544 0.9083
Sn 0.2485 0.1272 0.6096
Sn 0.7515 0.8728 0.3904
Sn 0.7670 0.3456 0.0917
P 0.1835 0.2466 0.8942
P 0.2888 0.7498 0.5473
P 0.7112 0.2502 0.4527
P 0.8165 0.7534 0.1058
O 0.0083 0.8274 0.1752
O 0.1032 0.6462 0.5081
O 0.1194 0.4481 0.8290
O 0.1509 0.2167 0.0646
O 0.1984 0.8096 0.6912
O 0.2769 0.9198 0.4272
O 0.4365 0.1682 0.8536
O 0.4471 0.3459 0.4290
O 0.5529 0.6541 0.5710
O 0.5635 0.8318 0.1464
O 0.7231 0.0802 0.5728
O 0.8016 0.1904 0.3088
O 0.8491 0.7833 0.9354
O 0.8806 0.5519 0.1710
O 0.8968 0.3538 0.4919
O 0.9917 0.1726 0.8248

Peak list (10 most intense, 10 to 80 degrees two-theta, in order of rising 2θ)
2θ (°)	d/Å	I/Imax
13.08	6.769	36.0
16.53	5.364	44.8
18.57	4.778	40.7
19.05	4.659	100.0
19.34	4.591	35.7
25.47	3.497	65.6
26.81	3.325	46.1
32.57	2.749	44.7
32.74	2.735	43.1
33.09	2.708	32.8

Record 3
LiSn4P3O12: simulated X-ray powder pattern (Cu Kα, 1.54184 Å), based on a DFT-relaxed cell (PBE, the Materials Project).

Structural model:
Lattice parameters (Å, degrees): 8.0052 8.6521 9.8875 97.57 109.05 96.73
Sites, in units of the cell vectors:
Li 0.0668 0.3891 0.2229
Li 0.9332 0.6109 0.7771
Sn 0.0572 0.8769 0.2239
Sn 0.3228 0.5026 0.6002
Sn 0.3509 0.0563 0.6162
Sn 0.4371 0.1984 0.9845
Sn 0.5629 0.8016 0.0155
Sn 0.6491 0.9437 0.3838
Sn 0.6772 0.4974 0.3998
Sn 0.9428 0.1231 0.7761
P 0.0376 0.7829 0.5576
P 0.3163 0.5506 0.1019
P 0.3297 0.1689 0.2682
P 0.6703 0.8311 0.7318
P 0.6837 0.4494 0.8981
P 0.9624 0.2171 0.4424
O 0.0488 0.9436 0.6558
O 0.0692 0.6463 0.6424
O 0.1486 0.2607 0.5705
O 0.1598 0.0878 0.1371
O 0.1695 0.5679 0.1666
O 0.1854 0.8205 0.4871
O 0.2923 0.3776 0.0202
O 0.3106 0.6656 0.9896
O 0.3117 0.3292 0.3438
O 0.3539 0.0434 0.3764
O 0.4884 0.4013 0.7800
O 0.5000 0.1840 0.2214
O 0.5000 0.8160 0.7786
O 0.5116 0.5987 0.2200
O 0.6461 0.9566 0.6236
O 0.6883 0.6708 0.6562
O 0.6894 0.3344 0.0104
O 0.7077 0.6224 0.9798
O 0.8146 0.1795 0.5129
O 0.8305 0.4321 0.8334
O 0.8402 0.9122 0.8629
O 0.8514 0.7393 0.4295
O 0.9308 0.3537 0.3576
O 0.9512 0.0564 0.3442

Peak list (10 most intense, 10 to 80 degrees two-theta, in order of rising 2θ)
2θ (°)	d/Å	I/Imax
21.50	4.134	68.7
22.41	3.967	57.9
26.07	3.418	100.0
27.36	3.260	99.0
27.76	3.214	65.2
29.12	3.067	80.6
29.47	3.031	42.0
30.48	2.933	66.1
33.26	2.693	45.0
41.18	2.192	40.8

Record 4
Li2Sn3P4O14: simulated X-ray powder pattern (Cu Kα, 1.54184 Å), based on a DFT-relaxed cell (PBE, the Materials Project).

Structural model:
Lattice parameters (Å, degrees): 6.3181 7.5758 8.0222 103.51 97.93 113.56
Sites, in units of the cell vectors:
Li 0.2152 0.0381 0.3048
Li 0.7848 0.9619 0.6952
Sn 0.1912 0.4747 0.7010
Sn 0.5000 0.0000 0.0000
Sn 0.8088 0.5253 0.2990
P 0.1479 0.3062 0.0682
P 0.4091 0.7344 0.3346
P 0.5909 0.2656 0.6654
P 0.8521 0.6938 0.9318
O 0.0752 0.7195 0.8628
O 0.0957 0.2617 0.8651
O 0.1975 0.6683 0.4214
O 0.2690 0.1854 0.1302
O 0.3390 0.5467 0.1497
O 0.3590 0.2376 0.5500
O 0.4348 0.9146 0.2705
O 0.5652 0.0854 0.7295
O 0.6410 0.7624 0.4500
O 0.6610 0.4533 0.8503
O 0.7310 0.8146 0.8698
O 0.8025 0.3317 0.5786
O 0.9043 0.7383 0.1349
O 0.9248 0.2805 0.1372

Peak list (10 most intense, 10 to 80 degrees two-theta, in order of rising 2θ)
2θ (°)	d/Å	I/Imax
13.45	6.583	36.2
15.52	5.710	32.8
20.55	4.322	40.5
23.18	3.837	100.0
25.10	3.549	37.2
28.54	3.128	55.7
29.14	3.065	64.8
31.27	2.860	45.5
35.71	2.514	32.4
39.37	2.289	30.4

Record 5
Li2SnP6O18: simulated X-ray powder pattern (Cu Kα, 1.54184 Å), based on a DFT-relaxed cell (PBE, the Materials Project).

Structural model:
Lattice parameters (Å, degrees): 7.5908 7.6543 7.6879 106.45 101.25 114.89
Sites, in units of the cell vectors:
Li 0.0000 0.0000 0.0000
Li 0.2045 0.9041 0.7412
Sn 0.7259 0.1327 0.4077
P 0.1538 0.3556 0.8084
P 0.2991 0.7782 0.0914
P 0.4488 0.3337 0.3091
P 0.4904 0.7252 0.8003
P 0.7097 0.3189 0.0819
P 0.8006 0.7174 0.3667
O 0.1238 0.1593 0.8282
O 0.1516 0.8388 0.0090
O 0.1883 0.5250 0.0161
O 0.2254 0.2449 0.2735
O 0.3506 0.7560 0.6641
O 0.3656 0.4752 0.7754
O 0.4176 0.8835 0.3148
O 0.4857 0.2397 0.1090
O 0.4937 0.8373 0.0212
O 0.5638 0.5821 0.3540
O 0.5874 0.3117 0.4688
O 0.6873 0.2313 0.8776
O 0.7103 0.7888 0.8259
O 0.8030 0.5725 0.1675
O 0.8176 0.9134 0.3375
O 0.8331 0.2669 0.2272
O 0.9555 0.7481 0.5376
O 0.9761 0.3375 0.6517

Peak list (10 most intense, 10 to 80 degrees two-theta, in order of rising 2θ)
2θ (°)	d/Å	I/Imax
12.88	6.875	28.8
13.80	6.418	70.9
15.10	5.868	100.0
22.09	4.023	19.5
24.22	3.674	45.8
24.57	3.624	21.3
26.48	3.366	25.9
28.19	3.166	20.7
28.78	3.102	21.1
31.42	2.847	22.6

> Which formula does entry 3 have?

LiSn4P3O12